(1)
Structure and theoretical powder X-ray diffraction pattern of U2AsS2 (a DFT-relaxed cell (GGA-PBE, Alexandria); Cu Ka).
Neutral-atom scattering factors, no anomalous dispersion.

Top 8 peaks for 2θ = 5–70°, in order of falling intensity:
(hkl), two_theta, I/Imax
0 1 5, 29.72, 1000
0 0 3, 8.90, 985
1 1 0, 45.10, 364
1 0 10, 39.82, 323
1 0 1, 25.76, 319
0 1 8, 35.29, 317
1 0 4, 28.30, 264
0 0 6, 17.86, 224

Crystal structure
```
data_U2AsS2
_cell_length_a 4.0202
_cell_length_b 4.0202
_cell_length_c 29.7950
_cell_angle_alpha 90.00
_cell_angle_beta 90.00
_cell_angle_gamma 120.00
_symmetry_space_group_name_H-M 'R -3 m'
_symmetry_Int_Tables_number 166
_symmetry_space_group_name_Hall '-R 3 2"'
loop_
_atom_site_label
_atom_site_type_symbol
_atom_site_fract_x
_atom_site_fract_y
_atom_site_fract_z
U1 U 0.0000 0.0000 0.1073
As1 As 0.0000 0.0000 0.5000
S1 S 0.0000 0.0000 0.2713
```

(2)
Structure and theoretical powder X-ray diffraction pattern of U2As2S7 (a DFT-relaxed cell (GGA-PBE, Alexandria); Cu Ka).
Neutral-atom scattering factors, no anomalous dispersion.

Top 8 peaks for 2θ = 5–70°, in order of falling intensity:
(hkl), two_theta, I/Imax
1 2 1, 28.62, 1000
0 2 0, 11.63, 827
0 2 2, 24.01, 685
1 4 1, 35.29, 660
0 4 0, 23.39, 474
1 6 1, 44.48, 419
0 0 2, 20.93, 377
1 4 3, 46.82, 366

Crystal structure
```
data_U2As2S7
_cell_length_a 3.736
_cell_length_b 15.213
_cell_length_c 8.491
_cell_angle_alpha 90.00
_cell_angle_beta 90.00
_cell_angle_gamma 90.00
_symmetry_space_group_name_H-M 'I m m 2'
_symmetry_Int_Tables_number 44
loop_
_symmetry_equiv_pos_as_xyz
'x,y,z'
'-x,-y,z'
'-x,y,z'
'x,-y,z'
'x+1/2,y+1/2,z+1/2'
'-x+1/2,-y+1/2,z+1/2'
'-x+1/2,y+1/2,z+1/2'
'x+1/2,-y+1/2,z+1/2'
loop_
_atom_site_label
_atom_site_type_symbol
_atom_site_fract_x
_atom_site_fract_y
_atom_site_fract_z
U1 U 0.000 0.000 0.000
U2 U 0.000 0.500 0.064
As1 As 0.000 0.230 0.699
S1 S 0.000 0.125 0.497
S2 S 0.000 0.190 0.095
S3 S 0.000 0.401 0.330
S4 S 0.000 0.500 0.726
```

What did the first record say?
Structure and theoretical powder X-ray diffraction pattern of U2AsS2 (a DFT-relaxed cell (GGA-PBE, Alexandria); Cu Ka).
Neutral-atom scattering factors, no anomalous dispersion.

Top 8 peaks for 2θ = 5–70°, in order of falling intensity:
(hkl), two_theta, I/Imax
0 1 5, 29.72, 1000
0 0 3, 8.90, 985
1 1 0, 45.10, 364
1 0 10, 39.82, 323
1 0 1, 25.76, 319
0 1 8, 35.29, 317
1 0 4, 28.30, 264
0 0 6, 17.86, 224

Crystal structure
```
data_U2AsS2
_cell_length_a 4.0202
_cell_length_b 4.0202
_cell_length_c 29.7950
_cell_angle_alpha 90.00
_cell_angle_beta 90.00
_cell_angle_gamma 120.00
_symmetry_space_group_name_H-M 'R -3 m'
_symmetry_Int_Tables_number 166
_symmetry_space_group_name_Hall '-R 3 2"'
loop_
_atom_site_label
_atom_site_type_symbol
_atom_site_fract_x
_atom_site_fract_y
_atom_site_fract_z
U1 U 0.0000 0.0000 0.1073
As1 As 0.0000 0.0000 0.5000
S1 S 0.0000 0.0000 0.2713
```